The following is a simulated powder diffractogram of Pm3Ho2Sb3. It was derived from a structure optimized by DFT (GGA-PBE), using Cu Kα, 1.54184 Å.
Neutral-atom scattering factors, no anomalous dispersion.

Main lines, in order of falling intensity (5 to 70 degrees two-theta):
2θ = 33.16°, intensity 100
2θ = 34.25°, intensity 91
2θ = 34.11°, intensity 55
2θ = 29.98°, intensity 35
2θ = 52.77°, intensity 27
2θ = 49.11°, intensity 23
2θ = 66.02°, intensity 20
2θ = 30.14°, intensity 19
2θ = 54.68°, intensity 15
2θ = 27.88°, intensity 15

Atomic structure:
```
data_Pm3Ho2Sb3
_cell_length_a 9.1056
_cell_length_b 9.1056
_cell_length_c 6.4001
_cell_angle_alpha 90.00
_cell_angle_beta 90.00
_cell_angle_gamma 120.00
_space_group_name_H-M_alt 'P 63/m c m'
_space_group_IT_number 193
_space_group_name_Hall '-P 6c 2'
loop_
_atom_site_label
_atom_site_type_symbol
_atom_site_fract_x
_atom_site_fract_y
_atom_site_fract_z
_atom_site_occupancy
Pm1 Pm 0.0000 0.2479 0.2500 1
Ho1 Ho 0.3333 0.6667 0.0000 1
Sb1 Sb 0.0000 0.3925 0.7500 1
```